Entry 1:
Simulated powder XRD pattern
Compound: EuC6N9
Radiation: CuKα
Structure: a DFT-relaxed cell (PBE, the Materials Project)
No peak broadening, texture or thermal motion is included.

Main lines, low angle first (15° ≤ 2θ ≤ 90°):
2θ/deg, d/Å, intensity
15.43, 5.744, 30
15.90, 5.576, 100
16.94, 5.233, 20
21.69, 4.098, 21
27.13, 3.286, 41
28.96, 3.083, 31

```
32
Lattice="4.021 -5.744 0.000 4.021 5.744 0.000 0.000 0.000 10.467" Properties=species:S:1:pos:R:3 pbc="T T T"
Eu 4.021 3.308 7.850
Eu 4.021 -3.308 2.617
C 1.176 1.080 7.850
C 2.854 1.630 0.617
C 2.854 1.630 4.617
C 1.176 -1.080 2.617
C 2.854 -1.630 5.850
C 2.854 -1.630 9.850
C 5.187 1.630 0.617
C 5.187 1.630 4.617
C 6.865 1.080 7.850
C 5.187 -1.630 5.850
C 5.187 -1.630 9.850
C 6.865 -1.080 2.617
N 4.021 5.218 2.617
N 1.732 1.563 0.982
N 1.732 1.563 4.251
N 2.306 1.432 7.850
N 4.021 1.732 0.052
N 4.021 1.732 5.181
N 1.732 -1.563 6.216
N 1.732 -1.563 9.485
N 2.306 -1.432 2.617
N 5.735 1.432 7.850
N 6.309 1.563 0.982
N 6.309 1.563 4.251
N 4.021 -1.732 5.286
N 4.021 -1.732 10.415
N 5.735 -1.432 2.617
N 6.309 -1.563 6.216
N 6.309 -1.563 9.485
N 4.021 -5.218 7.850
```

=====

Entry 2:
Simulated powder XRD pattern
Compound: Sm4FeS7
Radiation: CuKα
Structure: a DFT-relaxed cell (PBE, the Materials Project)
No peak broadening, texture or thermal motion is included.

Main lines, low angle first (15° ≤ 2θ ≤ 90°):
2θ/deg, d/Å, intensity
24.87, 3.579, 100
26.07, 3.419, 19
33.80, 2.652, 35
37.06, 2.426, 35
38.68, 2.328, 21
45.27, 2.003, 30

```
24
Lattice="9.702 0.000 0.000 -4.851 8.403 0.000 0.000 0.000 6.837" Properties=species:S:1:pos:R:3 pbc="T T T"
Sm -0.348 3.148 0.000
Sm -1.951 7.130 0.000
Sm 0.000 5.602 3.090
Sm 2.552 1.875 3.419
Sm 2.299 6.527 0.000
Sm 4.851 2.801 6.508
Sm 6.802 1.273 3.419
Sm 5.199 5.255 3.419
Fe 0.000 0.000 2.290
Fe 0.000 0.000 5.708
S -2.035 4.731 1.606
S -0.155 1.934 4.140
S -3.098 7.570 4.140
S 1.597 1.102 0.721
S 0.000 5.602 5.726
S 1.771 4.274 1.606
S 0.264 7.800 1.606
S 4.587 0.603 5.025
S 3.080 4.128 5.025
S 4.851 2.801 2.307
S 3.254 7.301 4.140
S 7.950 0.832 0.721
S 5.007 6.468 0.721
S 6.887 3.671 5.025
```

=====

Entry 3:
Simulated powder XRD pattern
Compound: Cs2YAuF6
Radiation: CuKα
Structure: a DFT-relaxed cell (PBE, the Materials Project)
No peak broadening, texture or thermal motion is included.

Main lines, low angle first (15° ≤ 2θ ≤ 90°):
2θ/deg, d/Å, intensity
30.35, 2.945, 100
43.46, 2.082, 31
53.93, 1.700, 40
63.15, 1.472, 19
71.66, 1.317, 18
87.68, 1.113, 22

```
10
Lattice="0.000 4.164 4.164 4.164 0.000 4.164 4.164 4.164 0.000" Properties=species:S:1:pos:R:3 pbc="T T T"
Cs 2.082 2.082 2.082
Cs 6.247 6.247 6.247
Y 0.000 0.000 0.000
Au 4.164 4.164 4.164
F 4.164 4.164 1.929
F 4.164 1.929 4.164
F 6.399 4.164 4.164
F 1.929 4.164 4.164
F 4.164 6.399 4.164
F 4.164 4.164 6.399
```